1.
Computed powder diffraction line list of Ba3SrHg4O8 for Cu Ka, from a structure optimized by DFT (PBE).
Intensities are scaled so that the largest is 100.

Largest 10 diffraction maxima, low angle first, 2θ from 10° to 90°:
two_theta  Rel. int.
16.5  28
25.8  42
28.1  39
29.6  93
30.9  100
36.9  25
47.0  46
48.1  27
53.4  28
61.4  34

Atomic structure:
a = 6.8668 Å, b = 6.8668 Å, c = 25.4153 Å
α = 90.00°, β = 90.00°, γ = 120.00°
Atoms (fractional coordinates):
1 Ba 0.0000 0.0000 0.0000
2 Ba 0.3333 0.6667 0.0159
3 Ba 0.3333 0.6667 0.2345
4 Ba 0.3333 0.6667 0.5158
5 Ba 0.3333 0.6667 0.7329
6 Ba 0.6667 0.3333 0.2671
7 Ba 0.6667 0.3333 0.4842
8 Ba 0.6667 0.3333 0.7655
9 Ba 0.6667 0.3333 0.9841
10 Sr 0.0000 0.0000 0.2507
11 Sr 0.0000 0.0000 0.5000
12 Sr 0.0000 0.0000 0.7493
13 Hg 0.1641 0.8204 0.8734
14 Hg 0.1698 0.3396 0.3752
15 Hg 0.1698 0.8302 0.3752
16 Hg 0.1796 0.3438 0.8734
17 Hg 0.3396 0.1698 0.6248
18 Hg 0.3438 0.1796 0.1266
19 Hg 0.6562 0.8359 0.8734
20 Hg 0.6604 0.8302 0.3752
21 Hg 0.8204 0.1641 0.1266
22 Hg 0.8302 0.1698 0.6248
23 Hg 0.8302 0.6604 0.6248
24 Hg 0.8359 0.6562 0.1266
25 O 0.0352 0.6856 0.9445
26 O 0.0434 0.3364 0.3033
27 O 0.0428 0.7070 0.4471
28 O 0.0447 0.3358 0.8024
29 O 0.2911 0.9553 0.8024
30 O 0.2930 0.3358 0.4471
31 O 0.2931 0.9566 0.3033
32 O 0.3144 0.3496 0.9445
33 O 0.3364 0.0434 0.6967
34 O 0.3358 0.0447 0.1976
35 O 0.3358 0.2930 0.5529
36 O 0.3496 0.3144 0.0555
37 O 0.6504 0.9648 0.9445
38 O 0.6636 0.7069 0.3033
39 O 0.6642 0.7089 0.8024
40 O 0.6642 0.9572 0.4471
41 O 0.6856 0.0352 0.0555
42 O 0.7070 0.0428 0.5529
43 O 0.7069 0.6636 0.6967
44 O 0.7089 0.6642 0.1976
45 O 0.9553 0.2911 0.1976
46 O 0.9566 0.2931 0.6967
47 O 0.9572 0.6642 0.5529
48 O 0.9648 0.6504 0.0555

---

2.
Computed powder diffraction line list of Ba2TbHgO4 for Cu Ka, from a structure optimized by DFT (PBE).
Intensities are scaled so that the largest is 100.

Largest 10 diffraction maxima, low angle first, 2θ from 10° to 90°:
two_theta  Rel. int.
26.8  100
30.7  14
31.2  27
44.4  30
44.7  15
52.3  16
52.9  30
55.2  12
71.2  13
82.2  9

Atomic structure:
a = 7.0935 Å, b = 7.0935 Å, c = 7.0935 Å
α = 132.36°, β = 132.36°, γ = 69.66°
Atoms (fractional coordinates):
1 Ba 0.0000 0.0000 0.0000
2 Ba 0.7500 0.2500 0.5000
3 Tb 0.5000 0.5000 0.0000
4 Hg 0.2500 0.7500 0.5000
5 O 0.1649 0.6040 0.9849
6 O 0.3960 0.3809 0.5609
7 O 0.6191 0.1801 0.0151
8 O 0.8199 0.8351 0.4391

---

3.
Computed powder diffraction line list of Ba2TlHg2O6 for Cu Ka, from a structure optimized by DFT (PBE).
Intensities are scaled so that the largest is 100.

Largest 10 diffraction maxima, low angle first, 2θ from 10° to 90°:
two_theta  Rel. int.
18.7  13
27.5  100
29.6  75
40.9  35
48.7  21
50.0  40
53.8  12
56.9  17
65.4  17
78.1  11

Atomic structure:
a = 7.0420 Å, b = 7.0420 Å, c = 7.0420 Å
α = 54.76°, β = 54.76°, γ = 54.76°
Atoms (fractional coordinates):
1 Ba 0.2080 0.2080 0.2080
2 Ba 0.7920 0.7920 0.7920
3 Tl 0.0000 0.0000 0.0000
4 Hg 0.4136 0.4136 0.4136
5 Hg 0.5864 0.5864 0.5864
6 O 0.1977 0.7657 0.7657
7 O 0.2343 0.2343 0.8023
8 O 0.2343 0.8023 0.2343
9 O 0.7657 0.1977 0.7657
10 O 0.7657 0.7657 0.1977
11 O 0.8023 0.2343 0.2343

---

4.
Computed powder diffraction line list of BaTl2HgO2 for Cu Ka, from a structure optimized by DFT (PBE).
Intensities are scaled so that the largest is 100.

Largest 10 diffraction maxima, low angle first, 2θ from 10° to 90°:
two_theta  Rel. int.
27.4  100
27.7  25
33.2  12
34.1  12
43.7  13
44.5  13
48.3  8
48.8  21
56.6  9
57.1  8

Atomic structure:
a = 7.5372 Å, b = 7.5372 Å, c = 6.4380 Å
α = 90.00°, β = 90.00°, γ = 91.61°
Atoms (fractional coordinates):
1 Ba 0.1146 0.8854 0.7500
2 Ba 0.8854 0.1146 0.2500
3 Tl 0.1743 0.3761 0.7500
4 Tl 0.3761 0.1743 0.2500
5 Tl 0.6239 0.8257 0.7500
6 Tl 0.8257 0.6239 0.2500
7 Hg 0.3560 0.6440 0.2500
8 Hg 0.6440 0.3560 0.7500
9 O 0.1564 0.1564 0.0000
10 O 0.1564 0.1564 0.5000
11 O 0.8436 0.8436 0.0000
12 O 0.8436 0.8436 0.5000

---

5.
Computed powder diffraction line list of BaHgP for Cu Ka, from a structure optimized by DFT (PBE).
Intensities are scaled so that the largest is 100.

Largest 10 diffraction maxima, low angle first, 2θ from 10° to 90°:
two_theta  Rel. int.
22.5  23
28.9  100
36.4  11
39.5  35
43.2  15
49.7  23
54.8  21
61.0  12
65.3  20
88.4  9

Atomic structure:
a = 4.5644 Å, b = 4.5644 Å, c = 4.9331 Å
α = 90.00°, β = 90.00°, γ = 120.00°
Atoms (fractional coordinates):
1 Ba 0.0000 0.0000 0.0000
2 Hg 0.6667 0.3333 0.4523
3 P 0.3333 0.6667 0.5917

---

6.
Computed powder diffraction line list of Ba2HgP for Cu Ka, from a structure optimized by DFT (PBE).
Intensities are scaled so that the largest is 100.

Largest 10 diffraction maxima, low angle first, 2θ from 10° to 90°:
two_theta  Rel. int.
22.0  37
22.9  29
26.1  73
28.3  100
32.5  18
33.4  30
38.1  61
48.1  23
50.9  31
62.9  21

Atomic structure:
a = 8.7118 Å, b = 8.7118 Å, c = 8.7118 Å
α = 31.49°, β = 31.49°, γ = 31.49°
Atoms (fractional coordinates):
1 Ba 0.0000 0.0000 0.0000
2 Ba 0.1979 0.1979 0.1979
3 Hg 0.7641 0.7641 0.7641
4 P 0.6008 0.6008 0.6008

---

7.
Computed powder diffraction line list of BaHg2P2 for Cu Ka, from a structure optimized by DFT (PBE).
Intensities are scaled so that the largest is 100.

Largest 10 diffraction maxima, low angle first, 2θ from 10° to 90°:
two_theta  Rel. int.
14.3  26
28.8  24
31.0  100
39.1  30
40.1  15
49.3  22
52.4  17
56.6  10
64.7  10
65.9  23

Atomic structure:
a = 7.0106 Å, b = 7.0106 Å, c = 7.0106 Å
α = 141.67°, β = 141.67°, γ = 55.32°
Atoms (fractional coordinates):
1 Ba 0.0000 0.0000 0.0000
2 Hg 0.2500 0.7500 0.5000
3 Hg 0.7500 0.2500 0.5000
4 P 0.4151 0.4151 0.0000
5 P 0.5849 0.5849 0.0000

---

8.
Computed powder diffraction line list of BaHg2P2S7 for Cu Ka, from a structure optimized by DFT (PBE).
Intensities are scaled so that the largest is 100.

Largest 10 diffraction maxima, low angle first, 2θ from 10° to 90°:
two_theta  Rel. int.
16.4  52
19.0  100
27.0  90
31.7  25
33.2  51
43.3  57
47.6  49
59.3  30
62.9  19
76.2  22

Atomic structure:
a = 11.4543 Å, b = 11.4543 Å, c = 11.4543 Å
α = 33.55°, β = 33.55°, γ = 33.55°
Atoms (fractional coordinates):
1 Ba 0.0000 0.0000 0.0000
2 Hg 0.2523 0.2523 0.2523
3 Hg 0.7477 0.7477 0.7477
4 P 0.4307 0.4307 0.4307
5 P 0.5693 0.5693 0.5693
6 S 0.1238 0.3782 0.7072
7 S 0.2928 0.6218 0.8762
8 S 0.3782 0.7072 0.1238
9 S 0.5000 0.5000 0.5000
10 S 0.6218 0.8762 0.2928
11 S 0.7072 0.1238 0.3782
12 S 0.8762 0.2928 0.6218

---

9.
Computed powder diffraction line list of Ba2HgTeP for Cu Ka, from a structure optimized by DFT (PBE).
Intensities are scaled so that the largest is 100.

Largest 10 diffraction maxima, low angle first, 2θ from 10° to 90°:
two_theta  Rel. int.
21.5  80
25.5  86
27.5  100
33.3  30
35.1  47
39.3  39
43.7  57
47.4  32
52.4  33
74.3  24

Atomic structure:
a = 6.4901 Å, b = 6.4901 Å, c = 5.3771 Å
α = 90.00°, β = 90.00°, γ = 90.00°
Atoms (fractional coordinates):
1 Ba 0.0000 0.5000 0.0000
2 Ba 0.5000 0.0000 0.0000
3 Hg 0.0000 0.0000 0.5000
4 Te 0.5000 0.5000 0.0000
5 P 0.5000 0.5000 0.5000

---

10.
Computed powder diffraction line list of BaHg3Pb2 for Cu Ka, from a structure optimized by DFT (PBE).
Intensities are scaled so that the largest is 100.

Largest 10 diffraction maxima, low angle first, 2θ from 10° to 90°:
two_theta  Rel. int.
27.2  44
29.1  20
31.2  100
32.2  57
33.7  63
37.1  61
38.1  36
47.3  40
57.3  39
78.2  18

Atomic structure:
a = 9.7565 Å, b = 9.7565 Å, c = 8.6290 Å
α = 116.24°, β = 116.24°, γ = 31.61°
Atoms (fractional coordinates):
1 Ba 0.1407 0.1407 0.1399
2 Ba 0.8593 0.8593 0.8601
3 Hg 0.0002 0.0002 0.3343
4 Hg 0.9998 0.9998 0.6657
5 Hg 0.3191 0.3191 0.5391
6 Hg 0.3201 0.3201 0.1018
7 Hg 0.6799 0.6799 0.8982
8 Hg 0.6809 0.6809 0.4609
9 Pb 0.1757 0.1757 0.6758
10 Pb 0.4995 0.4995 0.8207
11 Pb 0.5005 0.5005 0.1793
12 Pb 0.8243 0.8243 0.3242

---

11.
Computed powder diffraction line list of BaHgPb3 for Cu Ka, from a structure optimized by DFT (PBE).
Intensities are scaled so that the largest is 100.

Largest 10 diffraction maxima, low angle first, 2θ from 10° to 90°:
two_theta  Rel. int.
26.8  40
28.2  48
28.3  46
28.4  100
34.0  68
36.0  53
36.2  53
36.4  27
38.0  51
52.0  34

Atomic structure:
a = 4.7313 Å, b = 5.2704 Å, c = 7.8474 Å
α = 71.00°, β = 72.55°, γ = 89.86°
Atoms (fractional coordinates):
1 Ba 0.0000 0.0000 0.0000
2 Hg 0.6041 0.6145 0.7883
3 Pb 0.2527 0.7548 0.4914
4 Pb 0.3937 0.3897 0.2157
5 Pb 0.7379 0.2404 0.5278

---

12.
Computed powder diffraction line list of BaHg10Pb2 for Cu Ka, from a structure optimized by DFT (PBE).
Intensities are scaled so that the largest is 100.

Largest 10 diffraction maxima, low angle first, 2θ from 10° to 90°:
two_theta  Rel. int.
28.7  46
31.1  100
32.9  51
34.1  52
34.3  61
35.2  58
36.0  50
37.8  30
39.2  24
59.4  38

Atomic structure:
a = 10.4708 Å, b = 8.3109 Å, c = 8.0206 Å
α = 79.73°, β = 51.35°, γ = 48.91°
Atoms (fractional coordinates):
1 Ba 0.0000 0.0000 0.0000
2 Hg 0.0000 0.0000 0.5000
3 Hg 0.0063 0.6456 0.3544
4 Hg 0.2886 0.5056 0.4944
5 Hg 0.3544 0.9937 0.0063
6 Hg 0.4944 0.7114 0.2886
7 Hg 0.5000 0.5000 0.0000
8 Hg 0.5056 0.2886 0.7114
9 Hg 0.6456 0.0063 0.9937
10 Hg 0.7114 0.4944 0.5056
11 Hg 0.9937 0.3544 0.6456
12 Pb 0.0000 0.5000 0.0000
13 Pb 0.5000 0.0000 0.5000

---

13.
Computed powder diffraction line list of Ba4HgPb2 for Cu Ka, from a structure optimized by DFT (PBE).
Intensities are scaled so that the largest is 100.

Largest 10 diffraction maxima, low angle first, 2θ from 10° to 90°:
two_theta  Rel. int.
17.2  6
18.0  7
29.6  100
34.8  4
42.3  19
52.4  41
61.4  13
69.6  18
77.4  4
84.9  21

Atomic structure:
a = 10.4623 Å, b = 10.4623 Å, c = 10.4623 Å
α = 33.58°, β = 33.58°, γ = 33.58°
Atoms (fractional coordinates):
1 Ba 0.1235 0.1235 0.1235
2 Ba 0.3736 0.3736 0.3736
3 Ba 0.6264 0.6264 0.6264
4 Ba 0.8765 0.8765 0.8765
5 Hg 0.0000 0.0000 0.0000
6 Pb 0.2492 0.2492 0.2492
7 Pb 0.7508 0.7508 0.7508